Structure and computed powder diffractogram of Na2SrTcO6 (a PBE-relaxed structure; Cu Kα, 1.54184 Å).

Structure:
Cell: 6.373 6.373 6.290 Å, 90.00 90.00 120.00°
Fractional coordinates of all 10 atoms:
Na 0.333 0.667 0.418
Na 0.667 0.333 0.582
Sr 0.000 0.000 0.000
Tc 0.000 0.000 0.500
O 0.138 0.275 0.320
O 0.138 0.862 0.320
O 0.275 0.138 0.680
O 0.725 0.862 0.320
O 0.862 0.138 0.680
O 0.862 0.725 0.680

Largest 12 diffraction maxima, sorted by position, 5° ≤ 2θ ≤ 70°:
2θ (°), I_rel
14.08, 11
16.06, 100
28.00, 28
32.44, 6
32.77, 21
40.29, 24
43.38, 8
43.63, 15
52.65, 16
57.87, 6
58.08, 9
68.12, 6



Structure and computed powder diffractogram of CaPrNi (a PBE-relaxed structure; Cu Kα, 1.54184 Å).

Structure:
Cell: 11.694 10.747 6.093 Å, 83.04 65.82 31.14°
Fractional coordinates of all 12 atoms:
Ca 0.035 0.715 0.035
Ca 0.285 0.965 0.285
Ca 0.715 0.035 0.715
Ca 0.965 0.285 0.965
Pr 0.284 0.284 0.466
Pr 0.466 0.466 0.284
Pr 0.534 0.534 0.716
Pr 0.716 0.716 0.534
Ni 0.001 0.001 0.249
Ni 0.249 0.249 0.001
Ni 0.751 0.751 0.999
Ni 0.999 0.999 0.751

Largest 12 diffraction maxima, sorted by position, 5° ≤ 2θ ≤ 70°:
2θ (°), I_rel
17.10, 92
27.96, 53
29.76, 48
30.71, 82
32.95, 29
33.17, 44
35.22, 58
35.96, 78
37.54, 67
40.07, 100
54.00, 36
55.02, 31



Structure and computed powder diffractogram of SmZn8Pt4 (a PBE-relaxed structure; Cu Kα, 1.54184 Å).

Structure:
Cell: 6.813 6.813 6.813 Å, 99.37 99.37 132.39°
Fractional coordinates of all 13 atoms:
Sm 0.000 0.000 0.000
Zn 0.000 0.348 0.348
Zn 0.000 0.652 0.652
Zn 0.283 0.500 0.783
Zn 0.348 0.000 0.348
Zn 0.500 0.283 0.783
Zn 0.500 0.717 0.217
Zn 0.652 0.000 0.652
Zn 0.717 0.500 0.217
Pt 0.000 0.000 0.500
Pt 0.000 0.500 0.000
Pt 0.500 0.000 0.000
Pt 0.500 0.500 0.500

Largest 12 diffraction maxima, sorted by position, 5° ≤ 2θ ≤ 70°:
2θ (°), I_rel
20.15, 63
28.64, 32
34.61, 18
38.59, 100
40.37, 34
40.95, 57
43.91, 63
46.05, 38
57.53, 32
59.30, 11
67.16, 13
68.22, 10